Record 1
Calculated X-ray diffraction stick pattern of NaCo3O6 for Cu Kα, from the GGA+U geometry in the Materials Project.
Peak positions follow from Bragg's law for the DFT cell and can differ from measured ones.

Principal peaks in the range 10° ≤ 2θ ≤ 80°, by angle:
2theta, d [Å], I_rel
15.62, 5.674, 100
31.53, 2.837, 9
37.04, 2.427, 5
37.15, 2.420, 10
38.26, 2.352, 10
42.48, 2.128, 13
42.68, 2.118, 26
52.92, 1.730, 5
53.18, 1.722, 9
57.32, 1.607, 7
66.09, 1.414, 7
68.48, 1.370, 6

Cell: 4.900 8.469 5.913 Å, 90.00 106.33 90.00°
Space group P2 (No. 3)
Inequivalent atoms, fractional coordinates:
Na 0.000 0.000 0.000 x1
Na 0.500 0.492 0.000 x1
Co 0.000 0.163 0.500 x1
Co 0.000 0.495 0.500 x1
Co 0.000 0.828 0.500 x1
Co 0.500 0.328 0.500 x1
Co 0.500 0.662 0.500 x1
Co 0.500 0.995 0.500 x1
O 0.218 0.994 0.671 x2
O 0.222 0.331 0.671 x2
O 0.226 0.660 0.672 x2
O 0.271 0.161 0.329 x2
O 0.272 0.827 0.330 x2
O 0.275 0.498 0.329 x2

Record 2
Calculated X-ray diffraction stick pattern of Na8Co5O14 for Cu Kα, from the GGA+U geometry in the Materials Project.
Peak positions follow from Bragg's law for the DFT cell and can differ from measured ones.

Principal peaks in the range 10° ≤ 2θ ≤ 80°, by angle:
2theta, d [Å], I_rel
12.15, 7.287, 24
12.40, 7.137, 100
12.69, 6.976, 62
18.59, 4.774, 21
26.76, 3.332, 52
33.40, 2.683, 29
36.27, 2.477, 98
43.52, 2.080, 43
49.53, 1.840, 24
50.13, 1.820, 36
52.50, 1.743, 23
60.91, 1.521, 16

Cell: 8.264 8.466 10.322 Å, 103.75 103.29 112.55°
Space group P-1 (No. 2)
Inequivalent atoms, fractional coordinates:
Na 0.000 0.000 0.000 x1
Na 0.012 0.442 0.666 x2
Na 0.107 0.373 0.015 x2
Na 0.157 0.151 0.648 x2
Na 0.160 0.296 0.365 x2
Na 0.297 0.709 0.416 x2
Na 0.382 0.104 0.474 x2
Na 0.432 0.561 0.124 x2
Na 0.500 0.500 0.500 x1
Co 0.171 0.863 0.748 x2
Co 0.226 0.794 0.066 x2
Co 0.333 0.169 0.105 x2
Co 0.339 0.610 0.766 x2
Co 0.471 0.034 0.836 x2
O 0.023 0.837 0.568 x2
O 0.065 0.750 0.857 x2
O 0.125 0.694 0.168 x2
O 0.182 0.105 0.901 x2
O 0.190 0.629 0.604 x2
O 0.229 0.041 0.197 x2
O 0.240 0.566 0.911 x2
O 0.308 0.979 0.662 x2
O 0.311 0.393 0.235 x2
O 0.350 0.391 0.643 x2
O 0.352 0.927 0.963 x2
O 0.410 0.853 0.255 x2
O 0.472 0.263 0.011 x2
O 0.484 0.791 0.713 x2